[1]
# NbNiPd
Computed powder diffraction line list, Cu Kα (weighted mean of Kα1 and Kα2). Input: a structure optimized by DFT (GGA-PBE).
Kinematic intensities with the Lorentz-polarization factor, no thermal factor.

Peak list (10 most intense, 5 to 70 degrees two-theta, by angle)
2θ 10.7, intensity 7, (0 0 1); 2θ 32.2, intensity 12, (0 1 2); 2θ 38.4, intensity 8, (1 0 2); 2θ 39.8, intensity 100, (1 1 0); 2θ 40.6, intensity 88, (0 1 3); 2θ 45.7, intensity 62, (1 0 3); 2θ 48.6, intensity 28, (0 2 0); 2θ 65.6, intensity 11, (2 0 0); 2θ 67.8, intensity 7, (0 0 6); 2θ 69.0, intensity 35, (1 2 3)

Cell and atoms:
abc: 2.8463 3.7440 8.2951
angles: 90.00 90.00 90.00
Space group Pmmn (No. 59, origin choice 2)
Unique sites:
Nb (0.2500, 0.2500, 0.2321) x2
Ni (0.2500, 0.2500, 0.9279) x2
Pd (0.2500, 0.2500, 0.5941) x2

[2]
# La3ThAu4
Computed powder diffraction line list, Cu Kα (weighted mean of Kα1 and Kα2). Input: a structure optimized by DFT (GGA-PBE).
Kinematic intensities with the Lorentz-polarization factor, no thermal factor.

Peak list (9 most intense, 5 to 70 degrees two-theta, by angle)
2θ 16.7, intensity 2, (1 1 0); 2θ 23.6, intensity 1, (2 0 0); 2θ 29.1, intensity 1, (2 1 1); 2θ 33.7, intensity 100, (2 2 0); 2θ 37.8, intensity 1, (3 1 0); 2θ 45.1, intensity 1, (3 2 1); 2θ 48.4, intensity 18, (4 0 0); 2θ 54.5, intensity 1, (4 2 0); 2θ 60.2, intensity 38, (4 2 2)

Cell and atoms:
abc: 7.5264 7.5264 7.5264
angles: 90.00 90.00 90.00
Space group Im-3m (No. 229)
Unique sites:
La (0.0000, 0.0000, 0.5000) x6
Th (0.0000, 0.0000, 0.0000) x2
Au (0.2500, 0.2500, 0.2500) x8

[3]
# Sn6Os
Computed powder diffraction line list, Cu Kα (weighted mean of Kα1 and Kα2). Input: a structure optimized by DFT (GGA-PBE).
Kinematic intensities with the Lorentz-polarization factor, no thermal factor.

Peak list (10 most intense, 5 to 70 degrees two-theta, by angle)
2θ 17.3, intensity 34, (1 1 1); 2θ 28.7, intensity 47, (2 2 1); 2θ 29.6, intensity 71, (0 2 2); 2θ 35.1, intensity 52, (2 2 2); 2θ 37.1, intensity 36, (4 0 0); 2θ 37.4, intensity 75, (3 1 2); 2θ 37.7, intensity 100, (1 3 2); 2θ 41.9, intensity 38, (4 2 0); 2θ 42.3, intensity 45, (2 4 0); 2θ 46.7, intensity 36, (0 0 4)

Cell and atoms:
abc: 9.6760 9.5225 7.7860
angles: 90.00 90.00 90.00
Space group Cmcm (No. 63)
Unique sites:
Sn (0.0000, 0.1577, 0.0162) x8
Sn (0.1563, 0.5000, 0.0000) x8
Sn (0.2457, 0.2723, 0.2500) x8
Os (0.0000, 0.3496, 0.7500) x4

[4]
# ErCuAsO
Computed powder diffraction line list, Cu Kα (weighted mean of Kα1 and Kα2). Input: a structure optimized by DFT (GGA-PBE).
Kinematic intensities with the Lorentz-polarization factor, no thermal factor.

Peak list (10 most intense, 5 to 70 degrees two-theta, by angle)
2θ 30.9, intensity 100, (1 0 2); 2θ 32.9, intensity 20, (1 1 0); 2θ 34.5, intensity 26, (1 1 1); 2θ 38.6, intensity 17, (1 0 3); 2θ 38.9, intensity 18, (1 1 2); 2θ 47.2, intensity 31, (2 0 0); 2θ 53.6, intensity 30, (1 1 4); 2θ 57.5, intensity 34, (2 1 2); 2θ 62.6, intensity 8, (2 1 3); 2θ 69.0, intensity 10, (2 2 0)

Cell and atoms:
abc: 3.8477 3.8477 8.7957
angles: 90.00 90.00 90.00
Space group P4/nmm (No. 129, origin choice 2)
Unique sites:
Er (0.2500, 0.2500, 0.1256) x2
Cu (0.2500, 0.7500, 0.5000) x2
As (0.2500, 0.2500, 0.6745) x2
O (0.2500, 0.7500, 0.0000) x2

[5]
# Br
Computed powder diffraction line list, Cu Kα (weighted mean of Kα1 and Kα2). Input: a structure optimized by DFT (GGA-PBE).
Kinematic intensities with the Lorentz-polarization factor, no thermal factor.

Peak list (10 most intense, 5 to 70 degrees two-theta, by angle)
2θ 22.2, intensity 100, (1 0 0); 2θ 25.3, intensity 16, (0 1 1); 2θ 36.4, intensity 11, (0 0 3); 2θ 39.0, intensity 14, (1 1 0); 2θ 40.9, intensity 11, (1 1 1); 2θ 43.1, intensity 33, (1 0 3); 2θ 47.0, intensity 9, (0 2 1); 2θ 54.4, intensity 11, (1 1 3); 2θ 62.7, intensity 11, (1 2 1); 2θ 66.8, intensity 9, (2 1 2)

Cell and atoms:
abc: 4.6211 4.6211 7.4020
angles: 90.00 90.00 120.00
Space group P3_121 (No. 152)
Unique sites:
Br (0.0000, 0.9133, 0.1667) x3

[6]
# Er3Zn2Cu9
Computed powder diffraction line list, Cu Kα (weighted mean of Kα1 and Kα2). Input: a structure optimized by DFT (GGA-PBE).
Kinematic intensities with the Lorentz-polarization factor, no thermal factor.

Peak list (10 most intense, 5 to 70 degrees two-theta, by angle)
2θ 30.7, intensity 27, (1 0 3); 2θ 35.7, intensity 25, (0 2 4); 2θ 37.0, intensity 100, (1 2 3); 2θ 37.6, intensity 45, (1 3 0); 2θ 37.8, intensity 55, (0 3 3); 2θ 40.5, intensity 25, (1 3 2); 2θ 42.8, intensity 20, (1 0 5); 2θ 43.6, intensity 45, (2 0 0); 2θ 44.2, intensity 16, (0 0 6); 2θ 59.0, intensity 16, (2 3 3)

Cell and atoms:
abc: 4.1531 8.7732 12.2859
angles: 90.00 90.00 90.00
Space group Immm (No. 71)
Unique sites:
Er (0.0000, 0.0000, 0.0000) x2
Er (0.0000, 0.0000, 0.2989) x4
Zn (0.0000, 0.2013, 0.5000) x4
Cu (0.0000, 0.2834, 0.1277) x8
Cu (0.0000, 0.3590, 0.3298) x8
Cu (0.0000, 0.5000, 0.0000) x2

[7]
# BaHg2Pb2Au
Computed powder diffraction line list, Cu Kα (weighted mean of Kα1 and Kα2). Input: a structure optimized by DFT (GGA-PBE).
Kinematic intensities with the Lorentz-polarization factor, no thermal factor.

Peak list (10 most intense, 5 to 70 degrees two-theta, by angle)
2θ 14.0, intensity 44, (0 0 2); 2θ 21.4, intensity 19, (1 1 0); 2θ 25.7, intensity 34, (1 1 2); 2θ 28.2, intensity 45, (0 0 4); 2θ 30.4, intensity 100, (2 0 0); 2θ 33.6, intensity 23, (2 0 2); 2θ 42.0, intensity 63, (2 0 4); 2θ 43.6, intensity 38, (2 2 0); 2θ 52.7, intensity 33, (2 2 4); 2θ 67.2, intensity 21, (3 1 6)

Cell and atoms:
abc: 5.8748 5.8748 12.6463
angles: 90.00 90.00 90.00
Space group I4/mmm (No. 139)
Unique sites:
Ba (0.0000, 0.0000, 0.0000) x2
Hg (0.0000, 0.0000, 0.2862) x4
Pb (0.0000, 0.5000, 0.2500) x4
Au (0.0000, 0.0000, 0.5000) x2

[8]
# Li3PrAg
Computed powder diffraction line list, Cu Kα (weighted mean of Kα1 and Kα2). Input: a structure optimized by DFT (GGA-PBE).
Kinematic intensities with the Lorentz-polarization factor, no thermal factor.

Peak list (10 most intense, 5 to 70 degrees two-theta, by angle)
2θ 15.3, intensity 11, (1 0 0); 2θ 21.7, intensity 71, (1 0 1); 2θ 26.6, intensity 100, (1 1 0); 2θ 34.6, intensity 83, (1 0 2); 2θ 44.2, intensity 53, (2 0 2); 2θ 47.0, intensity 21, (3 0 0); 2θ 52.3, intensity 30, (2 1 2); 2θ 54.8, intensity 15, (2 2 0); 2θ 64.3, intensity 11, (0 0 4); 2θ 66.5, intensity 20, (3 1 2)

Cell and atoms:
abc: 6.7015 6.7015 5.7861
angles: 90.00 90.00 120.00
Space group P6_3/mmc (No. 194)
Unique sites:
Li (0.1887, 0.3774, 0.2500) x6
Pr (0.3333, 0.6667, 0.7500) x2
Ag (0.0000, 0.0000, 0.0000) x2

[9]
# Th6I15N
Computed powder diffraction line list, Cu Kα (weighted mean of Kα1 and Kα2). Input: a structure optimized by DFT (GGA-PBE).
Kinematic intensities with the Lorentz-polarization factor, no thermal factor.

Peak list (10 most intense, 5 to 70 degrees two-theta, by angle)
2θ 10.3, intensity 52, (1 1 0); 2θ 17.9, intensity 15, (2 1 1); 2θ 27.5, intensity 49, (3 2 1); 2θ 29.5, intensity 100, (4 0 0); 2θ 34.7, intensity 32, (3 3 2); 2θ 42.2, intensity 69, (4 4 0); 2θ 52.3, intensity 22, (4 4 4); 2θ 55.7, intensity 19, (7 2 1); 2θ 60.1, intensity 20, (7 3 2); 2θ 69.3, intensity 25, (8 4 0)

Cell and atoms:
abc: 12.1240 12.1240 12.1240
angles: 90.00 90.00 90.00
Space group Im-3m (No. 229)
Unique sites:
Th (0.0000, 0.0000, 0.2192) x12
I (0.0000, 0.0000, 0.5000) x6
I (0.0000, 0.2537, 0.2537) x24
N (0.0000, 0.0000, 0.0000) x2